Computed powder X-ray diffraction pattern
Compound: Y7HoO12
Radiation: λ = 1.5418 Å (Cu Kα)
Structure: a cell relaxed with GGA-PBE

Top 10 peaks for 10° ≤ 2θ ≤ 90°, sorted by position:
2θ/deg	intensity
20.36	14
28.95	100
33.55	27
35.65	7
43.17	10
48.18	42
52.82	6
57.19	30
58.59	7
77.95	8

Cell and atoms:
```
40
Lattice="-5.3422 5.3424 5.3430 5.3422 -5.3424 5.3430 5.3422 5.3424 -5.3430" Properties=species:S:1:pos:R:3 pbc="T T T"
Y 5.3419 -5.3357 5.3411
Y 5.3426 0.0067 0.0019
Y 5.3422 2.6712 -2.3159
Y 2.3205 0.0000 2.6715
Y 7.6696 0.0000 2.6715
Y 0.0000 2.6712 2.3159
Y 5.3426 -0.0067 5.3411
Y 5.3419 5.3357 0.0019
Y 5.3422 2.6712 3.0145
Y 2.6711 2.3223 5.3430
Y -2.3205 5.3424 2.6715
Y 3.0148 5.3424 2.6715
Y -2.6711 3.0202 5.3430
Y 0.0000 2.6712 7.6714
Ho 8.0133 2.3193 0.0000
Ho 2.6711 3.0231 0.0000
O 4.2787 -3.8282 3.9617
O 3.8295 1.3941 -1.0446
O 3.9559 -1.0509 1.5069
O 1.5127 1.3941 1.0446
O 6.4057 -1.5143 3.9617
O 3.9529 6.3968 -3.8444
O 3.9529 4.2881 -1.4986
O 6.4057 1.5143 1.3813
O 1.5127 -1.3941 4.2984
O 3.9559 1.0509 3.8360
O 3.8295 -1.3941 6.3876
O 4.2787 3.8282 1.3813
O 1.0495 1.5020 3.9550
O 1.5049 6.7296 -1.0525
O 1.3893 4.2881 1.4986
O 3.8373 6.7296 1.0525
O -1.0495 3.8405 3.9550
O 1.3863 1.0509 6.8499
O 1.3863 -1.0509 9.1790
O -1.0495 6.8444 1.3880
O 3.8373 3.9553 4.2905
O 1.3893 6.3968 3.8444
O 1.5049 3.9553 6.3955
O 1.0495 9.1829 1.3880
```